Record 1
Np3H: theoretical X-ray powder pattern (a wavelength of 1.5418 Å), based on a GGA-PBE-relaxed structure.

Largest 10 diffraction maxima, sorted by position, 15° ≤ 2θ ≤ 90°:
| 2θ (°) | I_rel |
| --- | --- |
| 29.11 | 233 |
| 33.54 | 1000 |
| 39.95 | 589 |
| 47.70 | 150 |
| 48.62 | 577 |
| 56.45 | 198 |
| 60.36 | 193 |
| 64.68 | 147 |
| 79.66 | 201 |
| 81.04 | 172 |

Structural model:
```
8
Lattice="3.7455 0.0000 0.0000 -1.8728 3.2437 0.0000 0.0000 0.0000 9.4266" Properties=species:S:1:pos:R:3 pbc="T T T"
Np 0.0000 0.0000 2.3566
Np 0.0000 0.0000 7.0699
Np 0.0000 2.1625 0.6099
Np 0.0000 2.1625 4.1034
Np 1.8728 1.0812 5.3232
Np 1.8728 1.0812 8.8167
H 0.0000 2.1625 7.0699
H 1.8728 1.0812 2.3566
```

***

Record 2
NaTi3AlO8: theoretical X-ray powder pattern (a wavelength of 1.5418 Å), based on a GGA-PBE-relaxed structure.

Largest 10 diffraction maxima, sorted by position, 15° ≤ 2θ ≤ 90°:
| 2θ (°) | I_rel |
| --- | --- |
| 24.08 | 489 |
| 24.65 | 1000 |
| 28.88 | 497 |
| 29.62 | 276 |
| 33.03 | 818 |
| 43.93 | 571 |
| 44.45 | 533 |
| 47.87 | 655 |
| 58.18 | 350 |
| 62.27 | 334 |

Structural model:
```
13
Lattice="6.1144 -1.9001 0.0000 6.1144 1.9001 0.0000 -2.0354 0.0000 6.1835" Properties=species:S:1:pos:R:3 pbc="T T T"
Na 0.0000 0.0000 0.0000
Ti 2.1623 0.0000 4.2036
Ti 4.2166 0.0000 1.7199
Ti 5.8750 0.0000 4.3371
Al 7.9233 0.0000 1.7714
O 0.1848 0.0000 4.2646
O 2.0709 0.0000 2.0239
O 2.4760 0.0000 5.9857
O 4.0774 0.0000 3.8022
O 6.0275 0.0000 2.0854
O 5.6141 0.0000 6.1168
O 7.9848 0.0000 3.8539
O 9.8567 0.0000 1.6773
```

***

Record 3
TbLuO3: theoretical X-ray powder pattern (a wavelength of 1.5418 Å), based on a GGA-PBE-relaxed structure.

Largest 10 diffraction maxima, sorted by position, 15° ≤ 2θ ≤ 90°:
| 2θ (°) | I_rel |
| --- | --- |
| 30.38 | 218 |
| 30.86 | 1000 |
| 31.87 | 219 |
| 43.81 | 116 |
| 44.61 | 180 |
| 54.27 | 249 |
| 55.18 | 113 |
| 56.16 | 216 |
| 64.31 | 123 |
| 72.44 | 93 |

Structural model:
```
20
Lattice="5.8840 0.0000 0.0000 0.0000 8.2664 0.0000 0.0000 0.0000 5.6160" Properties=species:S:1:pos:R:3 pbc="T T T"
Tb 0.3230 2.0666 0.0960
Tb 2.6190 6.1998 2.9040
Tb 3.2651 2.0666 2.7120
Tb 5.5610 6.1998 5.5200
Lu 0.0000 0.0000 2.8080
Lu 0.0000 4.1332 2.8080
Lu 2.9420 0.0000 0.0000
Lu 2.9420 4.1332 0.0000
O 0.4030 6.1998 2.0199
O 1.1051 4.7418 4.5778
O 1.1051 7.6577 4.5778
O 1.8369 0.6086 1.7698
O 1.8369 3.5245 1.7698
O 2.5390 2.0666 4.8279
O 3.3451 6.1998 0.7881
O 4.0471 4.7418 3.8462
O 4.0471 7.6577 3.8462
O 4.7790 0.6086 1.0382
O 4.7790 3.5245 1.0382
O 5.4810 2.0666 3.5962
```

***

Record 4
Sr2LiTl: theoretical X-ray powder pattern (a wavelength of 1.5418 Å), based on a GGA-PBE-relaxed structure.

Largest 10 diffraction maxima, sorted by position, 15° ≤ 2θ ≤ 90°:
| 2θ (°) | I_rel |
| --- | --- |
| 18.69 | 571 |
| 30.75 | 1000 |
| 36.23 | 336 |
| 44.05 | 187 |
| 48.24 | 152 |
| 54.68 | 396 |
| 58.31 | 116 |
| 64.06 | 123 |
| 72.73 | 171 |
| 89.11 | 210 |

Structural model:
```
16
Lattice="8.2231 0.0000 0.0000 0.0000 8.2231 0.0000 0.0000 0.0000 8.2231" Properties=species:S:1:pos:R:3 pbc="T T T"
Sr 2.0558 2.0558 2.0558
Sr 2.0558 2.0558 6.1673
Sr 2.0558 6.1673 2.0558
Sr 2.0558 6.1673 6.1673
Sr 6.1673 2.0558 2.0558
Sr 6.1673 2.0558 6.1673
Sr 6.1673 6.1673 2.0558
Sr 6.1673 6.1673 6.1673
Li 0.0000 0.0000 0.0000
Li 0.0000 4.1115 4.1115
Li 4.1115 0.0000 4.1115
Li 4.1115 4.1115 0.0000
Tl 0.0000 0.0000 4.1115
Tl 0.0000 4.1115 0.0000
Tl 4.1115 0.0000 0.0000
Tl 4.1115 4.1115 4.1115
```

***

Record 5
Ca2H2S2O7: theoretical X-ray powder pattern (a wavelength of 1.5418 Å), based on a GGA-PBE-relaxed structure.

Largest 10 diffraction maxima, sorted by position, 15° ≤ 2θ ≤ 90°:
| 2θ (°) | I_rel |
| --- | --- |
| 15.25 | 372 |
| 17.89 | 260 |
| 22.98 | 1000 |
| 28.20 | 750 |
| 29.67 | 234 |
| 32.16 | 317 |
| 33.11 | 477 |
| 40.98 | 223 |
| 46.93 | 295 |
| 51.34 | 201 |

Structural model:
```
52
Lattice="10.7210 0.0000 0.0000 0.0000 6.9111 0.0000 0.0000 0.0000 9.5195" Properties=species:S:1:pos:R:3 pbc="T T T"
Ca 1.5711 0.0179 1.2813
Ca 1.5711 6.8932 6.0411
Ca 3.7894 3.4377 6.0411
Ca 3.7894 3.4734 1.2813
Ca 6.9316 3.4377 8.2382
Ca 6.9316 3.4734 3.4784
Ca 9.1499 0.0179 3.4784
Ca 9.1499 6.8932 8.2382
H 0.7313 2.4944 2.1542
H 0.7313 4.4167 6.9139
H 4.6292 0.9611 6.9139
H 4.6292 5.9500 2.1542
H 6.0918 0.9611 7.3654
H 6.0918 5.9500 2.6056
H 9.9897 2.4944 2.6056
H 9.9897 4.4167 7.3654
S 1.2537 2.2013 8.4477
S 1.2537 4.7098 3.6879
S 4.1068 1.2543 3.6879
S 4.1068 5.6568 8.4477
S 6.6142 1.2543 1.0718
S 6.6142 5.6568 5.8316
S 9.4673 2.2013 5.8316
S 9.4673 4.7098 1.0718
O 0.0000 1.8859 2.3799
O 0.0000 5.0252 7.1396
O 0.6594 0.7610 8.5004
O 0.6594 6.1501 3.7407
O 2.1263 2.2195 0.1978
O 2.1263 4.6916 4.9576
O 2.2164 2.1115 7.2473
O 2.2164 4.7996 2.4876
O 3.1441 1.3441 2.4876
O 3.1441 5.5670 7.2473
O 3.2342 1.2361 4.9576
O 3.2342 5.6750 0.1978
O 4.7011 2.6945 3.7407
O 4.7011 4.2166 8.5004
O 5.3605 1.5696 7.1396
O 5.3605 5.3415 2.3799
O 6.0199 2.6945 1.0191
O 6.0199 4.2166 5.7788
O 7.4868 1.2361 9.3217
O 7.4868 5.6750 4.5620
O 7.5769 1.3441 2.2722
O 7.5769 5.5670 7.0319
O 8.5046 2.1115 7.0319
O 8.5046 4.7996 2.2722
O 8.5947 2.2195 4.5620
O 8.5947 4.6916 9.3217
O 10.0617 0.7610 5.7788
O 10.0617 6.1501 1.0191
```

***

Record 6
LaRh3C: theoretical X-ray powder pattern (a wavelength of 1.5418 Å), based on a GGA-PBE-relaxed structure.

Largest 7 diffraction maxima, sorted by position, 15° ≤ 2θ ≤ 90°:
| 2θ (°) | I_rel |
| --- | --- |
| 29.61 | 23 |
| 36.47 | 1000 |
| 42.37 | 536 |
| 52.53 | 9 |
| 61.46 | 348 |
| 73.63 | 377 |
| 77.49 | 117 |

Structural model:
```
5
Lattice="4.2669 0.0000 0.0000 0.0000 4.2669 0.0000 0.0000 0.0000 4.2669" Properties=species:S:1:pos:R:3 pbc="T T T"
La 0.0000 0.0000 0.0000
Rh 0.0000 2.1335 2.1335
Rh 2.1335 0.0000 2.1335
Rh 2.1335 2.1335 0.0000
C 2.1335 2.1335 2.1335
```

***

Record 7
RbLiZnS2: theoretical X-ray powder pattern (a wavelength of 1.5418 Å), based on a GGA-PBE-relaxed structure.

Largest 10 diffraction maxima, sorted by position, 15° ≤ 2θ ≤ 90°:
| 2θ (°) | I_rel |
| --- | --- |
| 23.02 | 444 |
| 25.90 | 155 |
| 29.52 | 1000 |
| 34.09 | 488 |
| 39.67 | 176 |
| 45.04 | 285 |
| 51.15 | 462 |
| 54.78 | 316 |
| 61.55 | 93 |
| 87.68 | 173 |

Structural model:
```
10
Lattice="4.0255 0.0000 0.0000 0.0000 4.0255 0.0000 0.0000 0.0000 13.7612" Properties=species:S:1:pos:R:3 pbc="T T T"
Rb 0.0000 0.0000 0.0000
Rb 2.0127 2.0127 6.8806
Li 0.0000 2.0127 10.3209
Li 2.0127 0.0000 3.4403
Zn 0.0000 2.0127 3.4403
Zn 2.0127 0.0000 10.3209
S 0.0000 0.0000 4.7771
S 0.0000 0.0000 8.9842
S 2.0127 2.0127 2.1035
S 2.0127 2.0127 11.6577
```

***

Record 8
Gd10S19: theoretical X-ray powder pattern (a wavelength of 1.5418 Å), based on a GGA-PBE-relaxed structure.

Largest 10 diffraction maxima, sorted by position, 15° ≤ 2θ ≤ 90°:
| 2θ (°) | I_rel |
| --- | --- |
| 22.40 | 291 |
| 25.38 | 1000 |
| 32.37 | 451 |
| 34.33 | 141 |
| 39.72 | 571 |
| 41.18 | 393 |
| 46.43 | 259 |
| 52.13 | 152 |
| 53.65 | 268 |
| 63.78 | 209 |

Structural model:
```
58
Lattice="8.7463 0.0000 0.0000 0.0000 8.7463 0.0000 0.0000 0.0000 15.8790" Properties=species:S:1:pos:R:3 pbc="T T T"
Gd 0.3586 3.0499 1.9354
Gd 0.4761 3.1001 9.5742
Gd 1.2731 0.4761 14.2442
Gd 1.3233 0.3586 6.0041
Gd 2.1866 6.5598 1.8135
Gd 2.1866 6.5598 9.7530
Gd 3.0499 4.0146 6.0041
Gd 3.1001 3.8971 14.2442
Gd 3.8971 1.2731 9.5742
Gd 4.0146 1.3233 1.9354
Gd 4.7318 7.4231 13.9436
Gd 4.8493 7.4733 6.3047
Gd 5.6463 4.8493 1.6347
Gd 5.6965 4.7318 9.8749
Gd 6.5598 2.1866 6.1260
Gd 6.5598 2.1866 14.0655
Gd 7.4231 8.3877 9.8749
Gd 7.4733 8.2702 1.6347
Gd 8.2702 5.6463 6.3047
Gd 8.3877 5.6965 13.9436
S 0.2485 7.0388 3.9651
S 0.4247 3.0475 6.7787
S 0.4705 3.0721 14.8920
S 0.6498 7.7392 11.9076
S 1.0071 5.0230 3.9681
S 1.3011 0.4705 8.9264
S 1.3256 0.4247 1.1608
S 1.7076 4.6216 11.9046
S 2.1866 2.1866 3.9697
S 2.1866 6.5598 6.8960
S 2.1866 6.5598 14.8355
S 2.6656 8.4979 11.9046
S 3.0475 3.9485 1.1608
S 3.0721 3.9027 8.9264
S 3.3661 8.0965 3.9681
S 3.7233 5.3803 11.9076
S 3.9027 1.3011 14.8920
S 3.9485 1.3256 6.7787
S 4.1247 6.0808 3.9651
S 4.6216 2.6656 11.9139
S 4.7979 7.4207 9.1003
S 4.8437 7.4453 0.9870
S 5.0230 3.3661 3.9714
S 5.3803 0.6498 11.9109
S 5.6743 4.8437 6.9525
S 5.6988 4.7979 14.7182
S 6.0808 0.2485 3.9744
S 6.5598 2.1866 1.0435
S 6.5598 2.1866 8.9830
S 6.5598 6.5598 11.9092
S 7.0388 4.1247 3.9744
S 7.4207 8.3217 14.7182
S 7.4453 8.2758 6.9525
S 7.7392 3.7233 11.9109
S 8.0965 1.0071 3.9714
S 8.2758 5.6743 0.9870
S 8.3217 5.6988 9.1003
S 8.4979 1.7076 11.9139
```